# 1
The following is a theoretical powder diffraction line list of BeTe3. It was derived from a DFT-relaxed cell (PBE, Alexandria), using Cu Kα (weighted mean of Kα1 and Kα2).
Neutral-atom scattering factors, no anomalous dispersion.

Atomic structure:
```
BeTe3
1.0
6.0115 0.0000 0.0000
0.0000 6.0115 0.0000
0.0000 0.0000 6.0115
Be Te
2 6
direct
0.0000 0.0000 0.0000
0.5000 0.5000 0.5000
0.0000 0.0000 0.5000
0.0000 0.5000 0.0000
0.0000 0.5000 0.5000
0.5000 0.0000 0.0000
0.5000 0.0000 0.5000
0.5000 0.5000 0.0000
```

The 10 most intense peaks (2θ from 10° to 90°), sorted by position:
2θ = 20.90°, I 45.9
2θ = 29.72°, I 100.0
2θ = 36.62°, I 22.1
2θ = 42.53°, I 74.5
2θ = 47.85°, I 10.4
2θ = 52.75°, I 26.3
2θ = 57.35°, I 12.0
2θ = 61.72°, I 12.2
2θ = 69.99°, I 33.4
2θ = 77.84°, I 24.7


# 2
The following is a theoretical powder diffraction line list of Y5BeTe4. It was derived from a DFT-relaxed cell (PBE, Alexandria), using Cu Kα (weighted mean of Kα1 and Kα2).
Neutral-atom scattering factors, no anomalous dispersion.

Atomic structure:
```
Y5BeTe4
1.0
-4.8280 4.8280 3.0439
4.8280 -4.8280 3.0439
4.8280 4.8280 -3.0439
Y Be Te
5 1 4
direct
0.0000 0.0000 0.0000
0.2321 0.5944 0.8265
0.4056 0.2321 0.6378
0.5944 0.7679 0.3622
0.7679 0.4056 0.1735
0.5000 0.5000 0.0000
0.0887 0.3075 0.3962
0.3075 0.9113 0.2188
0.6925 0.0887 0.7812
0.9113 0.6925 0.6038
```

The 10 most intense peaks (2θ from 10° to 90°), sorted by position:
2θ = 29.28°, I 100.0
2θ = 31.44°, I 8.1
2θ = 36.66°, I 8.4
2θ = 41.89°, I 69.7
2θ = 51.92°, I 22.1
2θ = 60.25°, I 5.8
2θ = 68.77°, I 14.8
2θ = 68.94°, I 10.8
2θ = 76.45°, I 10.1
2θ = 76.59°, I 6.8


# 3
The following is a theoretical powder diffraction line list of BeZnTe2. It was derived from a DFT-relaxed cell (PBE, Alexandria), using Cu Kα (weighted mean of Kα1 and Kα2).
Neutral-atom scattering factors, no anomalous dispersion.

Atomic structure:
```
BeZnTe2
1.0
8.7063 0.0000 0.0000
0.0000 10.9354 0.0000
-3.9545 0.0000 5.4490
Be Zn Te
4 4 8
direct
0.0000 0.0038 0.2500
0.0000 0.9962 0.7500
0.5000 0.4962 0.7500
0.5000 0.5038 0.2500
0.0000 0.2760 0.7500
0.0000 0.7240 0.2500
0.5000 0.2240 0.2500
0.5000 0.7760 0.7500
0.1804 0.1180 0.1321
0.1804 0.8820 0.6321
0.3196 0.3820 0.8679
0.3196 0.6180 0.3679
0.6804 0.3820 0.6321
0.6804 0.6180 0.1321
0.8196 0.1180 0.3679
0.8196 0.8820 0.8679
```

The 10 most intense peaks (2θ from 10° to 90°), sorted by position:
2θ = 14.96°, I 35.6
2θ = 15.75°, I 83.7
2θ = 23.04°, I 100.0
2θ = 26.21°, I 84.1
2θ = 28.51°, I 36.8
2θ = 32.47°, I 25.5
2θ = 35.88°, I 45.2
2θ = 41.60°, I 24.7
2θ = 41.82°, I 23.3
2θ = 43.07°, I 31.0


# 4
The following is a theoretical powder diffraction line list of BeZnTe2. It was derived from a DFT-relaxed cell (PBE, Alexandria), using Cu Kα (weighted mean of Kα1 and Kα2).
Neutral-atom scattering factors, no anomalous dispersion.

Atomic structure:
```
BeZnTe2
1.0
4.1724 0.0000 0.0000
0.0000 4.1724 0.0000
0.0000 0.0000 5.9704
Be Zn Te
1 1 2
direct
0.0000 0.0000 0.0000
0.5000 0.5000 0.5000
0.0000 0.5000 0.2271
0.5000 0.0000 0.7729
```

The 10 most intense peaks (2θ from 10° to 90°), sorted by position:
2θ = 26.05°, I 100.0
2θ = 30.29°, I 14.7
2θ = 33.89°, I 7.8
2θ = 43.11°, I 38.3
2θ = 43.37°, I 20.0
2θ = 50.83°, I 13.4
2θ = 51.30°, I 30.5
2θ = 68.99°, I 10.6
2θ = 79.41°, I 12.3
2θ = 85.47°, I 7.0


# 5
The following is a theoretical powder diffraction line list of ZrBeTe2. It was derived from a DFT-relaxed cell (PBE, Alexandria), using Cu Kα (weighted mean of Kα1 and Kα2).
Neutral-atom scattering factors, no anomalous dispersion.

Atomic structure:
```
ZrBeTe2
1.0
3.7708 0.0000 0.0000
0.0000 3.8261 0.0000
-1.8520 0.0000 7.3484
Zr Be Te
1 1 2
direct
0.0000 0.0000 0.0000
0.5598 0.5000 0.1263
0.4028 0.5000 0.8009
0.6545 0.0000 0.3126
```

The 10 most intense peaks (2θ from 10° to 90°), sorted by position:
2θ = 12.04°, I 50.7
2θ = 24.22°, I 38.6
2θ = 26.26°, I 100.0
2θ = 29.84°, I 48.1
2θ = 29.97°, I 49.2
2θ = 33.89°, I 57.3
2θ = 33.95°, I 47.2
2θ = 38.16°, I 37.2
2θ = 38.27°, I 35.4
2θ = 43.89°, I 54.2


# 6
The following is a theoretical powder diffraction line list of ZrBeTe2. It was derived from a DFT-relaxed cell (PBE, Alexandria), using Cu Kα (weighted mean of Kα1 and Kα2).
Neutral-atom scattering factors, no anomalous dispersion.

Atomic structure:
```
ZrBeTe2
1.0
3.8778 0.0000 0.0000
0.0000 3.9490 0.0000
0.0000 0.0000 11.3668
Zr Be Te
2 2 4
direct
0.0000 0.0000 0.0000
0.0000 0.5000 0.5000
0.5000 0.0000 0.1771
0.5000 0.5000 0.6771
0.0000 0.0000 0.6906
0.0000 0.5000 0.1906
0.5000 0.0000 0.4001
0.5000 0.5000 0.9001
```

The 10 most intense peaks (2θ from 10° to 90°), sorted by position:
2θ = 27.85°, I 54.2
2θ = 31.48°, I 20.3
2θ = 32.76°, I 76.0
2θ = 33.33°, I 100.0
2θ = 39.31°, I 23.6
2θ = 40.36°, I 33.6
2θ = 45.96°, I 20.6
2θ = 46.86°, I 19.5
2θ = 54.60°, I 16.5
2θ = 58.35°, I 28.5


# 7
The following is a theoretical powder diffraction line list of ThBe. It was derived from a DFT-relaxed cell (PBE, Alexandria), using Cu Kα (weighted mean of Kα1 and Kα2).
Neutral-atom scattering factors, no anomalous dispersion.

Atomic structure:
```
ThBe
1.0
4.1084 0.0000 0.0000
0.0000 3.8000 0.0000
-2.0615 0.0000 5.3850
Th Be
2 2
direct
0.1468 0.2500 0.2924
0.8532 0.7500 0.7076
0.4490 0.2500 0.8975
0.5510 0.7500 0.1025
```

The 10 most intense peaks (2θ from 10° to 90°), sorted by position:
2θ = 23.17°, I 37.2
2θ = 28.75°, I 59.2
2θ = 33.16°, I 100.0
2θ = 33.28°, I 16.6
2θ = 44.08°, I 11.2
2θ = 47.88°, I 8.9
2θ = 53.49°, I 22.1
2θ = 53.78°, I 26.7
2θ = 59.46°, I 15.9
2θ = 74.11°, I 10.3


# 8
The following is a theoretical powder diffraction line list of Th2Be17. It was derived from a DFT-relaxed cell (PBE, Alexandria), using Cu Kα (weighted mean of Kα1 and Kα2).
Neutral-atom scattering factors, no anomalous dispersion.

Atomic structure:
```
Th2Be17
1.0
3.9527 2.2821 3.8717
-3.9527 2.2821 3.8717
0.0000 -4.5641 3.8717
Th Be
2 17
direct
0.1607 0.1607 0.1607
0.8393 0.8393 0.8393
0.0000 0.5000 0.5000
0.1692 0.1692 0.6578
0.1692 0.6578 0.1692
0.2296 0.5000 0.7704
0.2296 0.7704 0.5000
0.3422 0.8308 0.8308
0.4071 0.4071 0.4071
0.5000 0.0000 0.5000
0.5000 0.2296 0.7704
0.5000 0.5000 0.0000
0.5000 0.7704 0.2296
0.5929 0.5929 0.5929
0.6578 0.1692 0.1692
0.7704 0.2296 0.5000
0.7704 0.5000 0.2296
0.8308 0.3422 0.8308
0.8308 0.8308 0.3422
```

The 10 most intense peaks (2θ from 10° to 90°), sorted by position:
2θ = 15.02°, I 62.0
2θ = 20.05°, I 23.3
2θ = 22.49°, I 100.0
2θ = 22.97°, I 31.4
2θ = 32.37°, I 90.6
2θ = 35.54°, I 20.3
2θ = 39.49°, I 28.7
2θ = 45.92°, I 22.0
2θ = 46.17°, I 40.1
2θ = 67.16°, I 24.9


# 9
The following is a theoretical powder diffraction line list of TmThBe. It was derived from a DFT-relaxed cell (PBE, Alexandria), using Cu Kα (weighted mean of Kα1 and Kα2).
Neutral-atom scattering factors, no anomalous dispersion.

Atomic structure:
```
TmThBe
1.0
0.0000 4.9831 5.1240
2.7889 0.0000 5.1240
2.7889 4.9831 0.0000
Tm Th Be
2 2 2
direct
0.1615 0.1615 0.8385
0.8385 0.8385 0.1615
0.3347 0.6653 0.3347
0.6653 0.3347 0.6653
0.2500 0.2500 0.2500
0.7500 0.7500 0.7500
```

The 10 most intense peaks (2θ from 10° to 90°), sorted by position:
2θ = 17.31°, I 18.5
2θ = 24.93°, I 25.1
2θ = 32.04°, I 100.0
2θ = 32.57°, I 80.4
2θ = 39.55°, I 11.5
2θ = 41.06°, I 15.8
2θ = 55.17°, I 15.3
2θ = 55.89°, I 13.3
2θ = 57.16°, I 13.4
2θ = 57.51°, I 16.4


# 10
The following is a theoretical powder diffraction line list of ThUBe26. It was derived from a DFT-relaxed cell (PBE, Alexandria), using Cu Kα (weighted mean of Kα1 and Kα2).
Neutral-atom scattering factors, no anomalous dispersion.

Atomic structure:
```
ThUBe26
1.0
0.0000 5.1304 5.1304
5.1304 0.0000 5.1304
5.1304 5.1304 0.0000
Th U Be
1 1 26
direct
0.0000 0.0000 0.0000
0.5000 0.5000 0.5000
0.0419 0.4620 0.8091
0.0419 0.6869 0.4620
0.0419 0.8091 0.6869
0.1909 0.3131 0.5380
0.1909 0.5380 0.9581
0.1909 0.9581 0.3131
0.2500 0.2500 0.2500
0.3131 0.1909 0.9581
0.3131 0.5380 0.1909
0.3131 0.9581 0.5380
0.4620 0.0419 0.6869
0.4620 0.6869 0.8091
0.4620 0.8091 0.0419
0.5380 0.1909 0.3131
0.5380 0.3131 0.9581
0.5380 0.9581 0.1909
0.6869 0.0419 0.8091
0.6869 0.4620 0.0419
0.6869 0.8091 0.4620
0.7500 0.7500 0.7500
0.8091 0.0419 0.4620
0.8091 0.4620 0.6869
0.8091 0.6869 0.0419
0.9581 0.1909 0.5380
0.9581 0.3131 0.1909
0.9581 0.5380 0.3131
```

The 10 most intense peaks (2θ from 10° to 90°), sorted by position:
2θ = 17.28°, I 95.4
2θ = 24.54°, I 100.0
2θ = 30.17°, I 43.0
2θ = 34.98°, I 22.0
2θ = 39.27°, I 69.6
2θ = 43.19°, I 57.3
2θ = 53.59°, I 26.1
2θ = 56.74°, I 25.0
2θ = 68.42°, I 28.2
2θ = 76.57°, I 20.8


# 11
The following is a theoretical powder diffraction line list of Ti3Be. It was derived from a DFT-relaxed cell (PBE, Alexandria), using Cu Kα (weighted mean of Kα1 and Kα2).
Neutral-atom scattering factors, no anomalous dispersion.

Atomic structure:
```
Ti3Be
1.0
3.8480 0.0000 0.0000
0.0000 3.8480 0.0000
0.0000 0.0000 8.0737
Ti Be
6 2
direct
0.0000 0.0000 0.0000
0.0000 0.5000 0.2500
0.0000 0.5000 0.7500
0.5000 0.0000 0.2500
0.5000 0.0000 0.7500
0.5000 0.5000 0.5000
0.0000 0.0000 0.5000
0.5000 0.5000 0.0000
```

The 10 most intense peaks (2θ from 10° to 90°), sorted by position:
2θ = 22.02°, I 9.7
2θ = 25.65°, I 26.5
2θ = 39.96°, I 100.0
2θ = 44.91°, I 17.3
2θ = 47.24°, I 29.5
2θ = 67.22°, I 18.5
2θ = 69.04°, I 8.5
2θ = 79.46°, I 11.0
2θ = 82.86°, I 19.7
2θ = 86.21°, I 8.9


# 12
The following is a theoretical powder diffraction line list of Ti3Be8V. It was derived from a DFT-relaxed cell (PBE, Alexandria), using Cu Kα (weighted mean of Kα1 and Kα2).
Neutral-atom scattering factors, no anomalous dispersion.

Atomic structure:
```
Ti3Be8V
1.0
2.2506 1.2994 7.3551
-2.2506 1.2994 7.3551
0.0000 -2.5987 7.3551
Ti Be V
3 8 1
direct
0.0000 0.0000 0.0000
0.1260 0.1260 0.1260
0.6231 0.6231 0.6231
0.0614 0.0614 0.5610
0.0614 0.5610 0.0614
0.0652 0.5620 0.5620
0.3126 0.3126 0.3126
0.5610 0.0614 0.0614
0.5620 0.0652 0.5620
0.5620 0.5620 0.0652
0.8121 0.8121 0.8121
0.4998 0.4998 0.4998
```

The 9 most intense peaks (2θ from 10° to 90°), sorted by position:
2θ = 24.21°, I 87.7
2θ = 40.05°, I 100.0
2θ = 47.35°, I 81.3
2θ = 49.60°, I 2.1
2θ = 57.94°, I 8.4
2θ = 63.71°, I 14.7
2θ = 72.77°, I 28.6
2θ = 77.98°, I 22.2
2θ = 86.46°, I 14.5